Theoretical X-ray diffraction stick pattern of Ba2AgGe3Pt4 for Cu Kα (weighted mean of Kα1 and Kα2), from a DFT-relaxed cell (GGA-PBE, Alexandria).

Atomic structure:
Unit cell a=4.5700 b=4.5700 c=10.4710 alpha=90.00 beta=90.00 gamma=90.00
Space group P-4m2 (No. 115)
One atom of each set of equivalent atoms:
Ba1 0.0000 0.5000 0.2475 [2 per cell]
Ag1 0.5000 0.5000 0.0000 [1 per cell]
Ge1 0.0000 0.0000 0.0000 [1 per cell]
Ge2 0.0000 0.5000 0.6149 [2 per cell]
Pt1 0.0000 0.0000 0.5000 [1 per cell]
Pt2 0.0000 0.5000 0.8580 [2 per cell]
Pt3 0.5000 0.5000 0.5000 [1 per cell]

Top 12 peaks for 2θ from 10° to 80°, by angle:
- (0 0 3), 2θ 25.52, I 12
- (1 1 1), 2θ 28.92, I 18
- (1 0 3), 2θ 32.27, I 40
- (1 1 2), 2θ 32.56, I 100
- (2 0 0), 2θ 39.43, I 69
- (1 1 4), 2θ 44.54, I 34
- (1 0 5), 2θ 47.77, I 25
- (2 1 3), 2θ 51.84, I 21
- (2 2 0), 2θ 57.00, I 24
- (2 1 5), 2θ 63.61, I 19
- (3 1 2), 2θ 67.20, I 25
- (3 1 4), 2θ 75.08, I 14

=====

Theoretical X-ray diffraction stick pattern of La9Pm4Cd11 for Cu Kα (weighted mean of Kα1 and Kα2), from a DFT-relaxed cell (GGA-PBE, Alexandria).

Atomic structure:
Unit cell a=16.3693 b=23.8448 c=3.6803 alpha=90.00 beta=90.00 gamma=90.00
Space group Cmmm (No. 65)
One atom of each set of equivalent atoms:
La1 0.0000 0.0000 0.0000 [2 per cell]
La2 0.1116 0.2359 0.0000 [8 per cell]
La3 0.1222 0.4137 0.0000 [8 per cell]
Pm1 0.1571 0.0924 0.0000 [8 per cell]
Cd1 0.0000 0.1320 0.5000 [4 per cell]
Cd2 0.0000 0.3298 0.5000 [4 per cell]
Cd3 0.0000 0.5000 0.5000 [2 per cell]
Cd4 0.2334 0.3190 0.5000 [8 per cell]
Cd5 0.2504 0.0000 0.5000 [4 per cell]

Top 12 peaks for 2θ from 10° to 80°, by angle:
- (2 4 1), 2θ 30.57, I 17
- (1 5 1), 2θ 31.18, I 18
- (4 6 0), 2θ 31.38, I 100
- (4 0 1), 2θ 32.73, I 87
- (0 6 1), 2θ 33.18, I 95
- (8 0 0), 2θ 44.27, I 14
- (0 0 2), 2θ 49.54, I 19
- (8 6 1), 2θ 56.41, I 16
- (5 11 1), 2θ 56.74, I 18
- (4 12 1), 2θ 57.30, I 12
- (4 6 2), 2θ 59.82, I 29
- (9 5 1), 2θ 59.96, I 17

=====

Theoretical X-ray diffraction stick pattern of Na3Sb5 for Cu Kα (weighted mean of Kα1 and Kα2), from a DFT-relaxed cell (GGA-PBE, Alexandria).

Atomic structure:
Unit cell a=6.8336 b=20.3317 c=14.3766 alpha=90.00 beta=90.00 gamma=90.00
Space group Fdd2 (No. 43)
One atom of each set of equivalent atoms:
Na1 0.0000 0.0000 0.0000 [8 per cell]
Na2 0.0393 0.3316 0.0017 [16 per cell]
Sb1 0.0000 0.0000 0.5729 [8 per cell]
Sb2 0.0301 0.3342 0.4174 [16 per cell]
Sb3 0.1014 0.3045 0.6126 [16 per cell]

Top 12 peaks for 2θ from 10° to 80°, by angle:
- (1 3 1), 2θ 19.45, I 100
- (0 0 4), 2θ 24.77, I 15
- (1 3 3), 2θ 26.25, I 16
- (2 0 2), 2θ 28.93, I 16
- (0 6 2), 2θ 29.13, I 18
- (2 4 0), 2θ 31.55, I 18
- (2 4 2), 2θ 33.99, I 13
- (1 1 5), 2θ 34.12, I 30
- (1 3 5), 2θ 36.40, I 34
- (2 6 0), 2θ 37.38, I 31
- (1 7 3), 2θ 38.57, I 23
- (0 10 2), 2θ 46.41, I 19

=====

Theoretical X-ray diffraction stick pattern of TbPm4Nd4 for Cu Kα (weighted mean of Kα1 and Kα2), from a DFT-relaxed cell (GGA-PBE, Alexandria).

Atomic structure:
Unit cell a=5.1780 b=8.1614 c=8.1697 alpha=107.59 beta=108.39 gamma=90.05
Space group P-1 (No. 2)
One atom of each set of equivalent atoms:
Tb1 0.0000 0.0000 0.0000 [1 per cell]
Pm1 0.1106 0.6676 0.2211 [2 per cell]
Pm2 0.4448 0.6669 0.8896 [2 per cell]
Nd1 0.2218 0.3332 0.4434 [2 per cell]
Nd2 0.3342 0.9997 0.6684 [2 per cell]

Top 12 peaks for 2θ from 10° to 80°, by angle:
- (1 1 1), 2θ 29.95, I 100
- (2 0 -1), 2θ 34.68, I 34
- (0 3 0), 2θ 34.79, I 17
- (2 1 -4), 2θ 49.88, I 24
- (0 2 3), 2θ 49.98, I 12
- (3 -2 0), 2θ 59.17, I 4
- (3 1 0), 2θ 59.24, I 18
- (1 0 4), 2θ 59.36, I 14
- (1 4 1), 2θ 59.45, I 7
- (2 4 -4), 2θ 62.18, I 6
- (2 2 2), 2θ 62.28, I 6
- (4 0 -2), 2θ 73.10, I 2